Calculated powder diffractogram of Na5SbO5 for CuKα, from a DFT-relaxed cell (PBE, the Materials Project).
Intensities are scaled so that the largest is 1000.

The 6 most intense peaks (2θ from 10° to 80°), by angle:
- 14.41 deg, d = 6.148 Å, I = 1000
- 18.55 deg, d = 4.783 Å, I = 400
- 21.66 deg, d = 4.103 Å, I = 804
- 37.61 deg, d = 2.392 Å, I = 432
- 38.57 deg, d = 2.334 Å, I = 444
- 40.36 deg, d = 2.235 Å, I = 435

Crystal structure
```
Na5SbO5
1.0
5.4584 -2.2349 0.0000
5.4584 2.2349 0.0000
-2.0785 0.0000 6.1475
Na Sb O
5 1 5
direct
0.0000 0.0000 0.0000
0.3020 0.3020 0.1763
0.3215 0.3215 0.6398
0.6785 0.6785 0.3602
0.6980 0.6980 0.8237
0.0000 0.0000 0.5000
0.1319 0.1319 0.3440
0.1436 0.1436 0.7924
0.5000 0.5000 0.5000
0.8564 0.8564 0.2076
0.8681 0.8681 0.6560
```

=====

Calculated powder diffractogram of CsY2Cl7 for CuKα, from a DFT-relaxed cell (PBE, the Materials Project).
Intensities are scaled so that the largest is 1000.

The 6 most intense peaks (2θ from 10° to 80°), by angle:
- 12.57 deg, d = 7.044 Å, I = 268
- 19.12 deg, d = 4.643 Å, I = 1000
- 25.26 deg, d = 3.525 Å, I = 339
- 34.00 deg, d = 2.637 Å, I = 281
- 36.03 deg, d = 2.493 Å, I = 307
- 40.49 deg, d = 2.228 Å, I = 321

Crystal structure
```
CsY2Cl7
1.0
14.0873 0.0000 0.0000
0.0000 7.0573 0.0000
0.0000 0.0000 12.7483
Cs Y Cl
4 8 28
direct
0.0412 0.2500 0.1964
0.4588 0.7500 0.6964
0.5412 0.2500 0.3036
0.9588 0.7500 0.8036
0.2379 0.2500 0.5409
0.2504 0.2500 0.8436
0.2496 0.7500 0.3436
0.2621 0.7500 0.0409
0.7379 0.2500 0.9591
0.7504 0.2500 0.6564
0.7496 0.7500 0.1564
0.7621 0.7500 0.4591
0.1154 0.7500 0.1891
0.1280 0.0089 0.4255
0.1280 0.4911 0.4255
0.1386 0.0090 0.9597
0.1386 0.4910 0.9597
0.1788 0.0134 0.6941
0.1788 0.4866 0.6941
0.3212 0.5134 0.1941
0.3212 0.9866 0.1941
0.3614 0.5090 0.4597
0.3614 0.9910 0.4597
0.3720 0.5089 0.9255
0.3720 0.9911 0.9255
0.3846 0.2500 0.6891
0.6154 0.7500 0.3109
0.6280 0.0089 0.0745
0.6280 0.4911 0.0745
0.6385 0.0090 0.5403
0.6385 0.4910 0.5403
0.6788 0.0134 0.8059
0.6788 0.4866 0.8059
0.8212 0.5134 0.3059
0.8212 0.9866 0.3059
0.8614 0.5090 0.0403
0.8614 0.9910 0.0403
0.8720 0.5089 0.5745
0.8720 0.9911 0.5745
0.8846 0.2500 0.8109
```

=====

Calculated powder diffractogram of NaSn5 for CuKα, from a DFT-relaxed cell (PBE, the Materials Project).
Intensities are scaled so that the largest is 1000.

The 6 most intense peaks (2θ from 10° to 80°), by angle:
- 21.95 deg, d = 4.049 Å, I = 596
- 27.95 deg, d = 3.192 Å, I = 544
- 29.58 deg, d = 3.020 Å, I = 1000
- 39.75 deg, d = 2.267 Å, I = 380
- 41.24 deg, d = 2.189 Å, I = 726
- 44.75 deg, d = 2.025 Å, I = 534

Crystal structure
```
NaSn5
1.0
6.4130 0.0000 0.0000
0.0000 6.4130 0.0000
0.0000 0.0000 8.9879
Na Sn
2 10
direct
0.0000 0.5000 0.2058
0.5000 0.0000 0.7942
0.0000 0.0000 0.0000
0.1575 0.3425 0.8172
0.2483 0.2517 0.5010
0.2517 0.7517 0.4990
0.3425 0.8425 0.1828
0.5000 0.5000 0.0000
0.6575 0.1575 0.1828
0.7483 0.2483 0.4990
0.7517 0.7483 0.5010
0.8425 0.6575 0.8172
```

=====

Calculated powder diffractogram of Ga for CuKα, from a DFT-relaxed cell (PBE, the Materials Project).
Intensities are scaled so that the largest is 1000.

The 6 most intense peaks (2θ from 10° to 80°), by angle:
- 22.71 deg, d = 3.916 Å, I = 382
- 29.51 deg, d = 3.027 Å, I = 861
- 39.09 deg, d = 2.304 Å, I = 462
- 43.40 deg, d = 2.085 Å, I = 460
- 44.33 deg, d = 2.043 Å, I = 1000
- 74.49 deg, d = 1.274 Å, I = 274

Crystal structure
```
Ga
1.0
7.8320 0.0000 0.0000
0.0000 4.6761 0.0000
0.0000 0.0000 4.6082
Ga
8
direct
0.1619 0.1734 0.2500
0.1619 0.8266 0.7500
0.3381 0.3266 0.7500
0.3381 0.6734 0.2500
0.6619 0.3266 0.7500
0.6619 0.6734 0.2500
0.8381 0.1734 0.2500
0.8381 0.8266 0.7500
```

=====

Calculated powder diffractogram of Lu6AgTe2 for CuKα, from a DFT-relaxed cell (PBE, the Materials Project).
Intensities are scaled so that the largest is 1000.

The 6 most intense peaks (2θ from 10° to 80°), by angle:
- 30.10 deg, d = 2.969 Å, I = 605
- 31.64 deg, d = 2.828 Å, I = 1000
- 32.57 deg, d = 2.749 Å, I = 813
- 33.68 deg, d = 2.661 Å, I = 463
- 34.52 deg, d = 2.598 Å, I = 567
- 45.55 deg, d = 1.991 Å, I = 454

Crystal structure
```
Lu6AgTe2
1.0
21.4691 0.0000 0.0000
0.0000 3.9827 0.0000
0.0000 0.0000 11.3823
Lu Ag Te
24 4 8
direct
0.0088 0.2500 0.1113
0.0287 0.7500 0.3792
0.1088 0.2500 0.8178
0.1401 0.7500 0.0610
0.1601 0.2500 0.5288
0.2324 0.7500 0.7408
0.2676 0.2500 0.2408
0.3399 0.7500 0.0288
0.3599 0.2500 0.5610
0.3912 0.7500 0.3178
0.4713 0.2500 0.8792
0.4912 0.7500 0.6113
0.5088 0.2500 0.3887
0.5287 0.7500 0.1208
0.6088 0.2500 0.6822
0.6401 0.7500 0.4390
0.6601 0.2500 0.9712
0.7324 0.7500 0.7592
0.7676 0.2500 0.2592
0.8399 0.7500 0.4712
0.8599 0.2500 0.9390
0.8912 0.7500 0.1822
0.9713 0.2500 0.6208
0.9912 0.7500 0.8887
0.0762 0.7500 0.6336
0.4238 0.2500 0.1336
0.5762 0.7500 0.8664
0.9238 0.2500 0.3664
0.1270 0.2500 0.2682
0.2365 0.2500 0.9570
0.2635 0.7500 0.4570
0.3730 0.7500 0.7682
0.6270 0.2500 0.2318
0.7365 0.2500 0.5430
0.7635 0.7500 0.0430
0.8730 0.7500 0.7318
```

=====

Calculated powder diffractogram of Dy2ZrS5 for CuKα, from a DFT-relaxed cell (PBE, the Materials Project).
Intensities are scaled so that the largest is 1000.

The 6 most intense peaks (2θ from 10° to 80°), by angle:
- 24.53 deg, d = 3.629 Å, I = 545
- 26.14 deg, d = 3.409 Å, I = 1000
- 27.16 deg, d = 3.284 Å, I = 496
- 27.66 deg, d = 3.226 Å, I = 528
- 35.03 deg, d = 2.562 Å, I = 675
- 37.30 deg, d = 2.411 Å, I = 727

Crystal structure
```
Dy2ZrS5
1.0
11.5826 0.0000 0.0000
0.0000 7.7674 0.0000
0.0000 0.0000 7.2577
Dy Zr S
8 4 20
direct
0.1790 0.0024 0.0216
0.1790 0.4976 0.0216
0.3210 0.5024 0.5216
0.3210 0.9976 0.5216
0.6790 0.0024 0.4784
0.6790 0.4976 0.4784
0.8210 0.5024 0.9784
0.8210 0.9976 0.9784
0.0070 0.7500 0.5793
0.4930 0.2500 0.0793
0.5070 0.7500 0.9207
0.9930 0.2500 0.4207
0.0026 0.7500 0.9505
0.0947 0.0379 0.6606
0.0947 0.4621 0.6606
0.1826 0.7500 0.3313
0.2089 0.2500 0.3082
0.2911 0.7500 0.8082
0.3174 0.2500 0.8313
0.4053 0.5379 0.1606
0.4053 0.9621 0.1606
0.4974 0.2500 0.4505
0.5026 0.7500 0.5495
0.5947 0.0379 0.8394
0.5947 0.4621 0.8394
0.6826 0.7500 0.1687
0.7089 0.2500 0.1918
0.7911 0.7500 0.6918
0.8174 0.2500 0.6687
0.9053 0.5379 0.3394
0.9053 0.9621 0.3394
0.9974 0.2500 0.0495
```

=====

Calculated powder diffractogram of Ca3Au for CuKα, from a DFT-relaxed cell (PBE, the Materials Project).
Intensities are scaled so that the largest is 1000.

The 6 most intense peaks (2θ from 10° to 80°), by angle:
- 17.22 deg, d = 5.150 Å, I = 757
- 17.89 deg, d = 4.958 Å, I = 670
- 19.42 deg, d = 4.571 Å, I = 1000
- 29.96 deg, d = 2.982 Å, I = 486
- 31.87 deg, d = 2.808 Å, I = 614
- 32.18 deg, d = 2.782 Å, I = 613

Crystal structure
```
Ca3Au
1.0
7.8618 0.0000 0.0000
0.0000 9.9169 0.0000
0.0000 0.0000 6.8169
Ca Au
12 4
direct
0.0365 0.2500 0.1435
0.1749 0.0637 0.6627
0.1749 0.4363 0.6627
0.3251 0.5637 0.1627
0.3251 0.9363 0.1627
0.4635 0.7500 0.6435
0.5365 0.2500 0.3565
0.6749 0.0637 0.8373
0.6749 0.4363 0.8373
0.8251 0.5637 0.3373
0.8251 0.9363 0.3373
0.9635 0.7500 0.8565
0.1220 0.7500 0.4501
0.3780 0.2500 0.9501
0.6220 0.7500 0.0499
0.8780 0.2500 0.5499
```

=====

Calculated powder diffractogram of RbMgPO4 for CuKα, from a DFT-relaxed cell (PBE, the Materials Project).
Intensities are scaled so that the largest is 1000.

The 6 most intense peaks (2θ from 10° to 80°), by angle:
- 27.02 deg, d = 3.300 Å, I = 310
- 27.73 deg, d = 3.217 Å, I = 1000
- 27.84 deg, d = 3.205 Å, I = 480
- 32.73 deg, d = 2.736 Å, I = 249
- 33.00 deg, d = 2.715 Å, I = 479
- 58.60 deg, d = 1.575 Å, I = 180

Crystal structure
```
RbMgPO4
1.0
8.7797 0.0000 0.0000
0.0000 9.3789 0.0000
0.0000 0.0000 5.4724
Rb Mg P O
4 4 4 16
direct
0.0033 0.2220 0.0000
0.4967 0.7220 0.5000
0.5033 0.2780 0.0000
0.9967 0.7780 0.5000
0.1870 0.5852 0.0158
0.3130 0.0852 0.5158
0.6870 0.9148 0.0158
0.8130 0.4148 0.5158
0.2092 0.4232 0.5134
0.2908 0.9232 0.0134
0.7092 0.0768 0.5134
0.7908 0.5768 0.0134
0.0335 0.4219 0.4971
0.2237 0.9492 0.7536
0.2350 0.7791 0.1195
0.2371 0.0452 0.1858
0.2629 0.5452 0.6858
0.2650 0.2791 0.6195
0.2763 0.4492 0.2536
0.4665 0.9219 0.9971
0.5335 0.0781 0.4971
0.7237 0.5508 0.7536
0.7350 0.7209 0.1195
0.7371 0.4548 0.1858
0.7629 0.9548 0.6858
0.7650 0.2209 0.6195
0.7763 0.0508 0.2536
0.9665 0.5781 0.9971
```

=====

Calculated powder diffractogram of Sm2MgS4 for CuKα, from a DFT-relaxed cell (PBE, the Materials Project).
Intensities are scaled so that the largest is 1000.

The 6 most intense peaks (2θ from 10° to 80°), by angle:
- 13.48 deg, d = 6.570 Å, I = 1000
- 25.97 deg, d = 3.431 Å, I = 993
- 31.45 deg, d = 2.845 Å, I = 908
- 41.22 deg, d = 2.190 Å, I = 414
- 45.07 deg, d = 2.011 Å, I = 820
- 74.60 deg, d = 1.272 Å, I = 283

Crystal structure
```
Sm2MgS4
1.0
0.0000 5.6894 5.6894
5.6894 0.0000 5.6894
5.6894 5.6894 0.0000
Sm Mg S
4 2 8
direct
0.0000 0.0000 0.0000
0.0000 0.0000 0.5000
0.0000 0.5000 0.0000
0.5000 0.0000 0.0000
0.3750 0.3750 0.3750
0.6250 0.6250 0.6250
0.2394 0.7535 0.7535
0.2465 0.2465 0.2465
0.2465 0.2465 0.7606
0.2465 0.7606 0.2465
0.7535 0.2394 0.7535
0.7535 0.7535 0.2394
0.7535 0.7535 0.7535
0.7606 0.2465 0.2465
```